Calculated X-ray powder pattern of Na3Ho3WO8 for Cu Kα (λ = 1.5418 Å), from a cell relaxed with PBE+U.
Peak positions follow from Bragg's law for the DFT cell and can differ from measured ones.

Cell and atoms:
```
15
Lattice="5.854 -3.355 0.000 5.854 3.355 0.000 -3.855 0.000 5.576" Properties=species:S:1:pos:R:3 pbc="T T T"
Na 0.000 0.000 0.000
Na 2.927 1.677 0.000
Na 2.927 -1.677 0.000
Ho 0.999 1.677 2.788
Ho 0.999 -1.677 2.788
Ho 3.927 0.000 2.788
W -1.928 0.000 2.788
O 3.029 1.811 3.883
O -0.062 0.000 3.902
O 4.824 1.811 1.692
O 1.984 0.000 1.630
O 5.869 0.000 3.946
O 3.029 -1.811 3.883
O 7.915 0.000 1.674
O 4.824 -1.811 1.692
```

Most intense lines, 10 to 90 degrees two-theta, by intensity:
- 2θ = 15.9°, rel. 100
- 2θ = 32.5°, rel. 49
- 2θ = 37.7°, rel. 43
- 2θ = 31.2°, rel. 32
- 2θ = 37.4°, rel. 22
- 2θ = 32.1°, rel. 18
- 2θ = 31.0°, rel. 17
- 2θ = 54.4°, rel. 15
- 2θ = 53.9°, rel. 14
- 2θ = 41.0°, rel. 13